Calculated XRD peak list of RbVOF3 for a wavelength of 1.5418 Å, from a DFT-relaxed cell (PBE+U, Alexandria).
Intensities are scaled so that the largest is 100.

Cell and atoms:
abc: 8.792 11.849 3.960
angles: 90.00 90.00 90.00
Space group Pbam (No. 55)
Inequivalent atoms, fractional coordinates:
Rb 0.010 0.219 0.000 x4
V 0.192 0.487 0.500 x4
O 0.162 0.074 0.500 x4
F 0.025 0.603 0.500 x4
F 0.168 0.471 0.000 x4
F 0.224 0.839 0.500 x4

Largest 10 diffraction maxima, in order of rising 2θ, 10 to 90 degrees two-theta:
- hkl 1 3 0, 2θ = 24.71°, d 3.603, intensity 36
- hkl 2 2 0, 2θ = 25.23°, d 3.530, intensity 100
- hkl 0 2 1, 2θ = 27.09°, d 3.292, intensity 84
- hkl 2 0 1, 2θ = 30.38°, d 2.942, intensity 66
- hkl 2 2 1, 2θ = 34.02°, d 2.635, intensity 24
- hkl 2 4 1, 2θ = 43.35°, d 2.087, intensity 31
- hkl 3 3 1, 2θ = 44.80°, d 2.023, intensity 22
- hkl 0 0 2, 2θ = 45.82°, d 1.980, intensity 43
- hkl 3 5 0, 2θ = 49.46°, d 1.843, intensity 23
- hkl 2 2 2, 2θ = 53.03°, d 1.727, intensity 24